[1]
Starting from a PBE-relaxed structure, the powder X-ray diffraction pattern of ZnHg2Pd was simulated for Cu Kα (λ = 1.5418 Å).
Intensities are scaled so that the largest is 100.

Peak list (8 most intense, 10° ≤ 2θ ≤ 80°, sorted by position)
index  d/Å  I (rel.)
1 1 1  3.849  17
2 0 0  3.333  1
2 2 0  2.357  100
3 1 1  2.010  10
4 0 0  1.667  17
3 3 1  1.529  4
4 2 2  1.361  35
5 1 1  1.283  3

Cell and atoms:
```
data_ZnHg2Pd
_chemical_formula_sum 'Zn4 Hg8 Pd4'
_cell_length_a 6.6660
_cell_length_b 6.6660
_cell_length_c 6.6660
_cell_angle_alpha 90.00
_cell_angle_beta 90.00
_cell_angle_gamma 90.00
_space_group_name_H-M_alt 'F -4 3 m'
_space_group_IT_number 216
_space_group_name_Hall 'F -4 2 3'
loop_
_atom_site_label
_atom_site_type_symbol
_atom_site_fract_x
_atom_site_fract_y
_atom_site_fract_z
Zn1 Zn 0.0000 0.0000 0.0000
Hg1 Hg 0.0000 0.0000 0.5000
Hg2 Hg 0.2500 0.2500 0.2500
Pd1 Pd 0.2500 0.2500 0.7500
```

***

[2]
Starting from a PBE-relaxed structure, the powder X-ray diffraction pattern of PmHg was simulated for Cu Kα (λ = 1.5418 Å).
Intensities are scaled so that the largest is 100.

Peak list (10 most intense, 10° ≤ 2θ ≤ 80°, sorted by position)
index  d/Å  I (rel.)
1 0 0  3.124  27
1 0 1  2.647  100
0 0 2  2.491  19
1 0 2  1.948  15
1 1 0  1.803  22
2 0 0  1.562  4
2 0 1  1.490  18
1 0 3  1.466  17
1 1 2  1.461  22
2 0 2  1.323  4

Cell and atoms:
```
data_PmHg
_chemical_formula_sum 'Pm1 Hg1'
_cell_length_a 3.6069
_cell_length_b 3.6069
_cell_length_c 4.9822
_cell_angle_alpha 90.00
_cell_angle_beta 90.00
_cell_angle_gamma 120.00
_space_group_name_H-M_alt 'P -6 m 2'
_space_group_IT_number 187
_space_group_name_Hall 'P -6 2'
loop_
_atom_site_label
_atom_site_type_symbol
_atom_site_fract_x
_atom_site_fract_y
_atom_site_fract_z
Pm1 Pm 0.0000 0.0000 0.0000
Hg1 Hg 0.3333 0.6667 0.5000
```

***

[3]
Starting from a PBE-relaxed structure, the powder X-ray diffraction pattern of PmScHg6 was simulated for Cu Kα (λ = 1.5418 Å).
Intensities are scaled so that the largest is 100.

Peak list (10 most intense, 10° ≤ 2θ ≤ 80°, sorted by position)
index  d/Å  I (rel.)
1 1 1  3.748  8
0 2 2  2.855  25
2 0 0  2.484  23
1 2 2  2.475  100
2 2 2  1.874  15
0 4 0  1.648  19
3 2 2  1.433  19
2 4 0  1.373  27
1 4 4  1.372  11
2 0 8  1.238  4

Cell and atoms:
```
data_PmScHg6
_chemical_formula_sum 'Pm2 Sc2 Hg12'
_cell_length_a 4.9686
_cell_length_b 6.5917
_cell_length_c 11.4229
_cell_angle_alpha 90.00
_cell_angle_beta 90.00
_cell_angle_gamma 90.00
_space_group_name_H-M_alt 'A m m 2'
_space_group_IT_number 38
loop_
_space_group_symop_operation_xyz
'x,y,z'
'-x,-y,z'
'-x,y,z'
'x,-y,z'
'x,y+1/2,z+1/2'
'-x,-y+1/2,z+1/2'
'-x,y+1/2,z+1/2'
'x,-y+1/2,z+1/2'
loop_
_atom_site_label
_atom_site_type_symbol
_atom_site_fract_x
_atom_site_fract_y
_atom_site_fract_z
Pm1 Pm 0.0000 0.0000 0.0000
Sc1 Sc 0.5000 0.0000 0.3348
Hg1 Hg 0.0000 0.0000 0.4966
Hg2 Hg 0.0000 0.2425 0.2527
Hg3 Hg 0.5000 0.0000 0.8295
Hg4 Hg 0.5000 0.2446 0.5861
```